Computed X-ray powder pattern
Compound: KPmMn2Cl8
Radiation: Cu Kα (λ = 1.5418 Å)
Structure: a cell relaxed with GGA-PBE
No peak broadening, texture or thermal motion is included.

Structural model:
Cell: 10.9047 10.9047 10.9047 Å, 34.57 34.57 34.57°
Element x y z (fractional)
1 K 0.0000 0.0000 0.0000
2 Pm 0.5000 0.5000 0.5000
3 Mn 0.2504 0.2504 0.2504
4 Mn 0.7496 0.7496 0.7496
5 Cl 0.1229 0.4315 0.7741
6 Cl 0.2259 0.5685 0.8771
7 Cl 0.3242 0.3242 0.3242
8 Cl 0.4315 0.7741 0.1229
9 Cl 0.5685 0.8771 0.2259
10 Cl 0.6758 0.6758 0.6758
11 Cl 0.7741 0.1229 0.4315
12 Cl 0.8771 0.2259 0.5685

Top 10 peaks for 2θ = 10–80°, in order of rising 2θ:
2θ (°)  Rel. int.
16.06  42
19.59  100
21.44  30
27.53  62
28.15  30
32.71  38
34.02  28
38.30  26
45.14  53
48.68  37

***

Computed X-ray powder pattern
Compound: MnV4Ni2
Radiation: Cu Kα (λ = 1.5418 Å)
Structure: a cell relaxed with GGA-PBE
No peak broadening, texture or thermal motion is included.

Structural model:
Cell: 6.6086 6.6086 6.6086 Å, 143.03 143.03 53.28°
Element x y z (fractional)
1 Mn 0.0000 0.0000 0.0000
2 V 0.0000 0.5000 0.5000
3 V 0.1921 0.1921 0.0000
4 V 0.5000 0.0000 0.5000
5 V 0.8079 0.8079 0.0000
6 Ni 0.3855 0.3855 0.0000
7 Ni 0.6145 0.6145 0.0000

Top 10 peaks for 2θ = 10–80°, in order of rising 2θ:
2θ (°)  Rel. int.
15.00  39
30.16  49
33.84  21
43.19  100
43.99  69
45.96  8
62.71  22
63.34  42
71.15  7
79.75  10

***

Computed X-ray powder pattern
Compound: LaB2Rh8
Radiation: Cu Kα (λ = 1.5418 Å)
Structure: a cell relaxed with GGA-PBE
No peak broadening, texture or thermal motion is included.

Structural model:
Cell: 5.2561 5.2561 7.0127 Å, 90.00 90.00 90.00°
Element x y z (fractional)
1 La 0.0000 0.0000 0.0000
2 B 0.0000 0.5000 0.5000
3 B 0.5000 0.0000 0.5000
4 Rh 0.2550 0.2550 0.3158
5 Rh 0.2550 0.2550 0.6842
6 Rh 0.2550 0.7450 0.3158
7 Rh 0.2550 0.7450 0.6842
8 Rh 0.7450 0.2550 0.3158
9 Rh 0.7450 0.2550 0.6842
10 Rh 0.7450 0.7450 0.3158
11 Rh 0.7450 0.7450 0.6842

Top 10 peaks for 2θ = 10–80°, in order of rising 2θ:
2θ (°)  Rel. int.
12.62  53
21.12  27
25.40  35
34.12  88
36.51  65
38.51  56
43.01  100
49.02  64
52.38  48
64.01  49

***

- Which formula does entry 2 have?
  MnV4Ni2

***

- What is the formula in the third record?
  LaB2Rh8